Diffraction record for LiFeP3O9. The powder diffractogram is calculated, not measured: it uses a cell relaxed with GGA+U and copper Kα.

Structural model:
a b c (Å): 6.5659 7.0789 7.6279
angles (deg): 74.63 86.80 89.22
Space group P-1 (No. 2)
Asymmetric unit:
Li  0.1719  0.0163  0.1381
Fe  0.1424  0.5815  0.1442
P  0.1404  0.2538  0.5595
P  0.3433  0.8983  0.7772
P  0.3466  0.4804  0.7794
O  0.0427  0.7746  0.3068
O  0.1110  0.3195  0.3597
O  0.1706  0.4249  0.9236
O  0.1716  0.8706  0.9256
O  0.2675  0.0543  0.5956
O  0.2956  0.4085  0.6048
O  0.3475  0.7112  0.6918
O  0.4481  0.5919  0.1616
O  0.4485  0.0525  0.1855

Principal peaks in the range 15° ≤ 2θ ≤ 90°, low angle first:
h k l, Position (°2θ), d (Å), intensity
1 0 -1, 18.62, 4.764, 25
1 1 1, 19.96, 4.449, 84
-1 1 1, 20.81, 4.268, 19
1 -1 1, 23.80, 3.739, 37
0 0 2, 24.24, 3.672, 22
1 0 -2, 28.50, 3.132, 40
2 0 1, 29.23, 3.055, 26
1 -2 0, 29.48, 3.030, 24
2 0 -1, 30.46, 2.935, 31
0 2 2, 30.70, 2.912, 100
0 2 -1, 31.70, 2.823, 62
0 4 1, 51.69, 1.769, 18